[1]
# Sr7Nb6O21
Computed powder diffraction line list, Cu Kα, 1.54184 Å. Input: a structure optimized by DFT (PBE).
Peak positions follow from Bragg's law for the DFT cell and can differ from measured ones.

Crystal structure
```
data_Sr7Nb6O21
_chemical_formula_sum 'Sr21 Nb18 O63'
_cell_length_a 5.7478
_cell_length_b 5.7478
_cell_length_c 49.2885
_cell_angle_alpha 90.00
_cell_angle_beta 90.00
_cell_angle_gamma 120.00
_space_group_name_H-M_alt 'R -3'
_space_group_IT_number 148
_space_group_name_Hall '-R 3'
loop_
_atom_site_label
_atom_site_fract_x
_atom_site_fract_y
_atom_site_fract_z
_atom_site_occupancy
Sr1 0.0000 0.0000 0.0000 1
Sr2 0.0000 0.0000 0.1531 1
Sr3 0.0000 0.0000 0.2324 1
Sr4 0.0000 0.0000 0.3841 1
Nb1 0.0000 0.0000 0.0725 1
Nb2 0.0000 0.0000 0.3096 1
Nb3 0.0000 0.0000 0.4566 1
O1 0.0000 0.5000 0.0000 1
O2 0.0016 0.5704 0.1403 1
O3 0.0055 0.4782 0.6197 1
O4 0.0059 0.5487 0.2400 1
```

Peak list (10 most intense, 2θ = 10–90°, sorted by position)
two_theta  d_spacing  intensity
29.62  3.016  100
31.12  2.874  86
43.50  2.081  57
51.59  1.772  20
54.44  1.685  37
55.37  1.659  19
61.49  1.508  13
64.89  1.437  17
70.52  1.335  15
72.92  1.297  15

[2]
# SmB3H12
Computed powder diffraction line list, Cu Kα, 1.54184 Å. Input: a structure optimized by DFT (PBE).
Peak positions follow from Bragg's law for the DFT cell and can differ from measured ones.

Crystal structure
```
data_SmB3H12
_chemical_formula_sum 'Sm6 B18 H72'
_cell_length_a 7.9074
_cell_length_b 7.9074
_cell_length_c 19.4752
_cell_angle_alpha 90.00
_cell_angle_beta 90.00
_cell_angle_gamma 120.00
_space_group_name_H-M_alt 'R -3 c'
_space_group_IT_number 167
_space_group_name_Hall '-R 3 2"c'
loop_
_atom_site_label
_atom_site_fract_x
_atom_site_fract_y
_atom_site_fract_z
_atom_site_occupancy
Sm1 0.0000 0.0000 0.0000 1
B1 0.0000 0.4981 0.2500 1
H1 0.0016 0.1913 0.5934 1
H2 0.0178 0.4188 0.6994 1
```

Peak list (10 most intense, 2θ = 10–90°, sorted by position)
two_theta  d_spacing  intensity
15.82  5.602  100
22.45  3.961  59
27.62  3.230  13
31.95  2.801  21
35.79  2.509  24
35.90  2.501  24
39.44  2.285  23
48.81  1.866  20
62.10  1.495  8
69.23  1.357  8

[3]
# Rb3CeU2S9
Computed powder diffraction line list, Cu Kα, 1.54184 Å. Input: a structure optimized by DFT (PBE).
Peak positions follow from Bragg's law for the DFT cell and can differ from measured ones.

Crystal structure
```
data_Rb3CeU2S9
_chemical_formula_sum 'Rb3 Ce1 U2 S9'
_cell_length_a 7.4236
_cell_length_b 7.4236
_cell_length_c 9.1037
_cell_angle_alpha 90.00
_cell_angle_beta 90.00
_cell_angle_gamma 120.00
_space_group_name_H-M_alt 'P -3 m 1'
_space_group_IT_number 164
_space_group_name_Hall '-P 3 2"'
loop_
_atom_site_label
_atom_site_fract_x
_atom_site_fract_y
_atom_site_fract_z
_atom_site_occupancy
Rb1 0.0000 0.0000 0.0000 1
Rb2 0.3333 0.6667 0.6645 1
Ce1 0.0000 0.0000 0.5000 1
U1 0.3333 0.6667 0.1647 1
S1 0.0000 0.5000 0.0000 1
S2 0.1714 0.3427 0.3255 1
```

Peak list (10 most intense, 2θ = 10–90°, sorted by position)
two_theta  d_spacing  intensity
16.88  5.252  40
23.96  3.713  100
34.15  2.626  48
38.33  2.349  20
42.15  2.144  47
49.06  1.857  33
55.32  1.661  22
66.63  1.404  25
77.04  1.238  13
82.07  1.174  15

[4]
# LiLa2Tb3Se6
Computed powder diffraction line list, Cu Kα, 1.54184 Å. Input: a structure optimized by DFT (PBE).
Peak positions follow from Bragg's law for the DFT cell and can differ from measured ones.

Crystal structure
```
data_LiLa2Tb3Se6
_chemical_formula_sum 'Li2 La4 Tb6 Se12'
_cell_length_a 7.180
_cell_length_b 12.465
_cell_length_c 7.248
_cell_angle_alpha 90.00
_cell_angle_beta 109.47
_cell_angle_gamma 90.00
_space_group_name_H-M_alt 'C 1 2/m 1'
_space_group_IT_number 12
_space_group_name_Hall '-C 2y'
loop_
_atom_site_label
_atom_site_fract_x
_atom_site_fract_y
_atom_site_fract_z
_atom_site_occupancy
Li1 0.000 0.000 0.000 1
La1 0.000 0.335 0.000 1
Tb1 0.000 0.168 0.500 1
Tb2 0.000 0.500 0.500 1
Se1 0.233 0.000 0.744 1
Se2 0.245 0.160 0.257 1
```

Peak list (10 most intense, 2θ = 10–90°, sorted by position)
two_theta  d_spacing  intensity
30.38  2.943  100
43.32  2.088  25
43.45  2.083  12
43.62  2.075  36
54.02  1.698  13
63.20  1.471  12
71.47  1.320  11
71.87  1.314  11
79.83  1.201  8
80.08  1.198  8